Diffraction record for Mn3Cl3O. The X-ray diffraction stick pattern is computed, not measured: it uses a structure optimized by DFT (GGA+U) and Cu Kα.
Kinematic intensities with the Lorentz-polarization factor, no thermal factor.

Peak list (12 most intense, 2θ = 10–90°, sorted by position)
14.4°, 6.142 Å, I 37.1; 18.8°, 4.728 Å, I 36.9; 21.7°, 4.097 Å, I 44.8; 25.1°, 3.550 Å, I 48.9; 27.2°, 3.276 Å, I 63.3; 28.7°, 3.107 Å, I 45.7; 30.6°, 2.923 Å, I 34.5; 32.2°, 2.779 Å, I 66.9; 34.4°, 2.608 Å, I 100.0; 39.1°, 2.302 Å, I 43.5; 40.5°, 2.228 Å, I 60.6; 42.1°, 2.145 Å, I 33.5

```
data_Mn3Cl3O
_chemical_formula_sum 'Mn12 Cl12 O4'
_space_group_name_H-M_alt 'P 1 21/c 1'
_space_group_IT_number 14
_cell_length_a 6.678
_cell_length_b 7.140
_cell_length_c 12.513
_cell_angle_alpha 90.00
_cell_angle_beta 101.16
_cell_angle_gamma 90.00
loop_
_space_group_symop_operation_xyz
'x,y,z'
'-x,-y,-z'
'-x,y+1/2,-z+1/2'
'x,-y+1/2,z+1/2'
loop_
_atom_site_label
_atom_site_type_symbol
_atom_site_fract_x
_atom_site_fract_y
_atom_site_fract_z
Mn1 Mn 0.122 0.057 0.411
Mn2 Mn 0.236 0.636 0.497
Mn3 Mn 0.284 0.019 0.697
Cl1 Cl 0.131 0.111 0.118
Cl2 Cl 0.359 0.153 0.887
Cl3 Cl 0.365 0.675 0.840
O1 O 0.170 0.610 0.056
```